Entry 1:
The following is a theoretical PXRD pattern of Th6NiC5. It was derived from the GGA-PBE geometry in Alexandria, using CuKα.
No peak broadening, texture or thermal motion is included.

Crystal structure
```
data_Th6NiC5
_cell_length_a 6.5502
_cell_length_b 6.5502
_cell_length_c 12.7753
_cell_angle_alpha 90.00
_cell_angle_beta 90.00
_cell_angle_gamma 120.00
_space_group_name_H-M_alt 'P 63/m c m'
_space_group_IT_number 193
_space_group_name_Hall '-P 6c 2'
loop_
_atom_site_label
_atom_site_type_symbol
_atom_site_fract_x
_atom_site_fract_y
_atom_site_fract_z
Th1 Th 0.0000 0.3629 0.1236
Ni1 Ni 0.0000 0.0000 0.2500
C1 C 0.0000 0.3129 0.7500
C2 C 0.3333 0.6667 0.0000
```

Peak list (6 most intense, 10° ≤ 2θ ≤ 90°, in order of falling intensity)
Position (°2θ), I_rel
28.13, 100
34.55, 73
27.94, 44
39.41, 38
48.12, 36
56.56, 32

Entry 2:
The following is a theoretical PXRD pattern of PuIn3Au3. It was derived from the GGA-PBE geometry in Alexandria, using CuKα.
No peak broadening, texture or thermal motion is included.

Crystal structure
```
data_PuIn3Au3
_cell_length_a 7.5451
_cell_length_b 7.5451
_cell_length_c 7.5451
_cell_angle_alpha 90.00
_cell_angle_beta 90.00
_cell_angle_gamma 90.00
_space_group_name_H-M_alt 'P m -3 n'
_space_group_IT_number 223
_space_group_name_Hall '-P 4n 2 3'
loop_
_atom_site_label
_atom_site_type_symbol
_atom_site_fract_x
_atom_site_fract_y
_atom_site_fract_z
Pu1 Pu 0.0000 0.0000 0.0000
In1 In 0.0000 0.2500 0.5000
Au1 Au 0.0000 0.5000 0.2500
```

Peak list (6 most intense, 10° ≤ 2θ ≤ 90°, in order of falling intensity)
Position (°2θ), I_rel
28.99, 100
44.95, 62
23.58, 42
48.25, 29
41.46, 22
78.08, 19

Entry 3:
The following is a theoretical PXRD pattern of KRb4Pd3F12. It was derived from the GGA-PBE geometry in Alexandria, using CuKα.
No peak broadening, texture or thermal motion is included.

Crystal structure
```
data_KRb4Pd3F12
_cell_length_a 8.8947
_cell_length_b 8.8947
_cell_length_c 8.8947
_cell_angle_alpha 90.00
_cell_angle_beta 90.00
_cell_angle_gamma 90.00
_space_group_name_H-M_alt 'I m -3 m'
_space_group_IT_number 229
_space_group_name_Hall '-I 4 2 3'
loop_
_atom_site_label
_atom_site_type_symbol
_atom_site_fract_x
_atom_site_fract_y
_atom_site_fract_z
K1 K 0.0000 0.0000 0.0000
Rb1 Rb 0.2500 0.2500 0.2500
Pd1 Pd 0.0000 0.0000 0.5000
F1 F 0.0000 0.0000 0.2755
F2 F 0.0000 0.2500 0.5000
```

Peak list (6 most intense, 10° ≤ 2θ ≤ 90°, in order of falling intensity)
Position (°2θ), I_rel
28.38, 100
40.57, 40
50.25, 40
58.72, 25
80.87, 21
66.48, 18

Entry 4:
The following is a theoretical PXRD pattern of CaTcBrO4. It was derived from the GGA-PBE geometry in Alexandria, using CuKα.
No peak broadening, texture or thermal motion is included.

Crystal structure
```
data_CaTcBrO4
_cell_length_a 10.7616
_cell_length_b 7.4490
_cell_length_c 9.0514
_cell_angle_alpha 90.00
_cell_angle_beta 116.46
_cell_angle_gamma 90.00
_space_group_name_H-M_alt 'C 1 2/m 1'
_space_group_IT_number 12
loop_
_space_group_symop_operation_xyz
'x,y,z'
'-x,-y,-z'
'-x,y,-z'
'x,-y,z'
'x+1/2,y+1/2,z'
'-x+1/2,-y+1/2,-z'
'-x+1/2,y+1/2,-z'
'x+1/2,-y+1/2,z'
loop_
_atom_site_label
_atom_site_type_symbol
_atom_site_fract_x
_atom_site_fract_y
_atom_site_fract_z
Ca1 Ca 0.1961 0.0000 0.1922
Tc1 Tc 0.1098 0.5000 0.2993
Br1 Br 0.0846 0.0000 0.8436
O1 O 0.0699 0.5000 0.7749
O2 O 0.1599 0.3104 0.2278
O3 O 0.1892 0.5000 0.5142
```

Peak list (6 most intense, 10° ≤ 2θ ≤ 90°, in order of falling intensity)
Position (°2θ), I_rel
27.63, 100
23.89, 98
20.92, 84
21.94, 71
16.70, 38
32.33, 37

Entry 5:
The following is a theoretical PXRD pattern of CuGe2S4. It was derived from the GGA-PBE geometry in Alexandria, using CuKα.
No peak broadening, texture or thermal motion is included.

Crystal structure
```
data_CuGe2S4
_cell_length_a 7.2287
_cell_length_b 7.2287
_cell_length_c 6.1275
_cell_angle_alpha 90.00
_cell_angle_beta 90.00
_cell_angle_gamma 90.00
_space_group_name_H-M_alt 'I 4/m'
_space_group_IT_number 87
_space_group_name_Hall '-I 4'
loop_
_atom_site_label
_atom_site_type_symbol
_atom_site_fract_x
_atom_site_fract_y
_atom_site_fract_z
Cu1 Cu 0.0000 0.0000 0.0000
Ge1 Ge 0.0000 0.5000 0.2500
S1 S 0.1463 0.3012 0.0000
```

Peak list (6 most intense, 10° ≤ 2θ ≤ 90°, in order of falling intensity)
Position (°2θ), I_rel
49.77, 100
34.12, 75
18.99, 71
17.35, 64
35.11, 56
31.28, 53

Entry 6:
The following is a theoretical PXRD pattern of Ce5PuTl2. It was derived from the GGA-PBE geometry in Alexandria, using CuKα.
No peak broadening, texture or thermal motion is included.

Crystal structure
```
data_Ce5PuTl2
_cell_length_a 6.7768
_cell_length_b 7.1408
_cell_length_c 8.6891
_cell_angle_alpha 90.00
_cell_angle_beta 90.00
_cell_angle_gamma 90.00
_space_group_name_H-M_alt 'I m m 2'
_space_group_IT_number 44
loop_
_space_group_symop_operation_xyz
'x,y,z'
'-x,-y,z'
'-x,y,z'
'x,-y,z'
'x+1/2,y+1/2,z+1/2'
'-x+1/2,-y+1/2,z+1/2'
'-x+1/2,y+1/2,z+1/2'
'x+1/2,-y+1/2,z+1/2'
loop_
_atom_site_label
_atom_site_type_symbol
_atom_site_fract_x
_atom_site_fract_y
_atom_site_fract_z
Ce1 Ce 0.0000 0.0000 0.0000
Ce2 Ce 0.2459 0.2114 0.3026
Pu1 Pu 0.0000 0.5000 0.4983
Tl1 Tl 0.0000 0.0000 0.5865
Tl2 Tl 0.0000 0.5000 0.0815
```

Peak list (6 most intense, 10° ≤ 2θ ≤ 90°, in order of falling intensity)
Position (°2θ), I_rel
33.54, 100
32.46, 98
36.56, 85
33.38, 32
64.55, 27
56.98, 25

Entry 7:
The following is a theoretical PXRD pattern of ZrMo3C. It was derived from the GGA-PBE geometry in Alexandria, using CuKα.
No peak broadening, texture or thermal motion is included.

Crystal structure
```
data_ZrMo3C
_cell_length_a 4.2507
_cell_length_b 4.2507
_cell_length_c 4.2507
_cell_angle_alpha 90.00
_cell_angle_beta 90.00
_cell_angle_gamma 90.00
_space_group_name_H-M_alt 'P m -3 m'
_space_group_IT_number 221
_space_group_name_Hall '-P 4 2 3'
loop_
_atom_site_label
_atom_site_type_symbol
_atom_site_fract_x
_atom_site_fract_y
_atom_site_fract_z
Zr1 Zr 0.0000 0.0000 0.0000
Mo1 Mo 0.0000 0.5000 0.5000
C1 C 0.5000 0.5000 0.5000
```

Peak list (6 most intense, 10° ≤ 2θ ≤ 90°, in order of falling intensity)
Position (°2θ), I_rel
36.62, 100
42.54, 54
73.96, 37
61.72, 34
77.84, 12
20.90, 1

Entry 8:
The following is a theoretical PXRD pattern of KAlCO5. It was derived from the GGA-PBE geometry in Alexandria, using CuKα.
No peak broadening, texture or thermal motion is included.

Crystal structure
```
data_KAlCO5
_cell_length_a 7.6020
_cell_length_b 10.4283
_cell_length_c 6.0091
_cell_angle_alpha 90.00
_cell_angle_beta 90.00
_cell_angle_gamma 90.00
_space_group_name_H-M_alt 'C m c m'
_space_group_IT_number 63
_space_group_name_Hall '-C 2c 2'
loop_
_atom_site_label
_atom_site_type_symbol
_atom_site_fract_x
_atom_site_fract_y
_atom_site_fract_z
K1 K 0.0000 0.1231 0.2500
Al1 Al 0.0000 0.5000 0.0000
C1 C 0.0000 0.2559 0.7500
O1 O 0.0000 0.1337 0.7500
O2 O 0.0000 0.3164 0.5595
O3 O 0.1421 0.4753 0.2500
```

Peak list (6 most intense, 10° ≤ 2θ ≤ 90°, in order of falling intensity)
Position (°2θ), I_rel
23.40, 100
47.76, 38
33.19, 31
45.07, 23
28.23, 23
14.42, 23